Entry 1:
For Li4Si2Ge, the GGA-PBE geometry in Alexandria gives the simulated powder diffraction line list in this record (a wavelength of 1.5418 Å).
Intensities are scaled so that the largest is 100.

Structural model:
abc: 3.9743 3.9743 8.4198
angles: 90.00 90.00 120.00
Positions (direct):
Li1 0.3333 0.6667 0.2476
Li2 0.3333 0.6667 0.8842
Li3 0.6667 0.3333 0.1158
Li4 0.6667 0.3333 0.7524
Si1 0.3333 0.6667 0.5561
Si2 0.6667 0.3333 0.4439
Ge1 0.0000 0.0000 0.0000

Largest 12 diffraction maxima, by angle, 2θ = 15–90°:
| 2theta | intensity |
| --- | --- |
| 21.1 | 42 |
| 28.0 | 100 |
| 33.6 | 24 |
| 41.5 | 41 |
| 45.7 | 30 |
| 50.8 | 36 |
| 54.4 | 16 |
| 63.4 | 11 |
| 72.8 | 8 |
| 73.7 | 16 |
| 81.6 | 11 |
| 88.3 | 10 |

---

Entry 2:
For Li4SiGe, the GGA-PBE geometry in Alexandria gives the simulated powder diffraction line list in this record (a wavelength of 1.5418 Å).
Intensities are scaled so that the largest is 100.

Structural model:
abc: 2.7324 4.3450 7.4748
angles: 90.00 90.94 90.00
Positions (direct):
Li1 0.0771 0.0000 0.3292
Li2 0.0900 0.5000 0.8359
Li3 0.9100 0.5000 0.1641
Li4 0.9229 0.0000 0.6708
Si1 0.5000 0.0000 0.0000
Ge1 0.5000 0.5000 0.5000

Largest 12 diffraction maxima, by angle, 2θ = 15–90°:
| 2theta | intensity |
| --- | --- |
| 20.4 | 16 |
| 23.7 | 100 |
| 23.8 | 49 |
| 32.8 | 18 |
| 40.6 | 48 |
| 41.0 | 38 |
| 41.3 | 14 |
| 41.6 | 19 |
| 41.8 | 38 |
| 48.5 | 14 |
| 59.5 | 17 |
| 75.2 | 15 |

---

Entry 3:
For Li6Si2Ge, the GGA-PBE geometry in Alexandria gives the simulated powder diffraction line list in this record (a wavelength of 1.5418 Å).
Intensities are scaled so that the largest is 100.

Structural model:
abc: 5.0853 5.0853 5.0853
angles: 95.31 95.31 95.31
Positions (direct):
Li1 0.0000 0.3333 0.6667
Li2 0.0000 0.6667 0.3333
Li3 0.3333 0.0000 0.6667
Li4 0.3333 0.6667 0.0000
Li5 0.6667 0.0000 0.3333
Li6 0.6667 0.3333 0.0000
Si1 0.1560 0.1560 0.1560
Si2 0.8440 0.8440 0.8440
Ge1 0.5000 0.5000 0.5000

Largest 12 diffraction maxima, by angle, 2θ = 15–90°:
| 2theta | intensity |
| --- | --- |
| 17.6 | 22 |
| 23.7 | 93 |
| 26.3 | 14 |
| 33.8 | 9 |
| 41.7 | 100 |
| 43.2 | 8 |
| 48.4 | 12 |
| 54.7 | 13 |
| 60.4 | 20 |
| 65.7 | 10 |
| 76.0 | 27 |
| 85.9 | 9 |

---

Entry 4:
For LiSi3Ge, the GGA-PBE geometry in Alexandria gives the simulated powder diffraction line list in this record (a wavelength of 1.5418 Å).
Intensities are scaled so that the largest is 100.

Structural model:
abc: 4.4417 4.4417 4.4417
angles: 90.00 90.00 90.00
Positions (direct):
Li1 0.0000 0.0000 0.0000
Si1 0.0000 0.0000 0.5000
Si2 0.0000 0.5000 0.0000
Si3 0.5000 0.0000 0.0000
Ge1 0.5000 0.5000 0.5000

Largest 12 diffraction maxima, by angle, 2θ = 15–90°:
| 2theta | intensity |
| --- | --- |
| 20.0 | 20 |
| 28.4 | 28 |
| 35.0 | 100 |
| 40.6 | 55 |
| 45.7 | 10 |
| 50.3 | 12 |
| 58.8 | 36 |
| 66.6 | 5 |
| 70.3 | 37 |
| 73.9 | 12 |
| 81.0 | 6 |
| 87.9 | 6 |

---

Entry 5:
For LiSmTcGe2, the GGA-PBE geometry in Alexandria gives the simulated powder diffraction line list in this record (a wavelength of 1.5418 Å).
Intensities are scaled so that the largest is 100.

Structural model:
abc: 4.1129 4.1129 10.9882
angles: 90.00 90.00 90.00
Positions (direct):
Li1 0.0000 0.0000 0.0000
Li2 0.5000 0.5000 0.5000
Sm1 0.0000 0.5000 0.2500
Sm2 0.5000 0.0000 0.7500
Tc1 0.0000 0.0000 0.5000
Tc2 0.5000 0.5000 0.0000
Ge1 0.0000 0.5000 0.6295
Ge2 0.0000 0.5000 0.8705
Ge3 0.5000 0.0000 0.1295
Ge4 0.5000 0.0000 0.3705

Largest 12 diffraction maxima, by angle, 2θ = 15–90°:
| 2theta | intensity |
| --- | --- |
| 23.1 | 38 |
| 30.7 | 32 |
| 32.7 | 100 |
| 34.9 | 84 |
| 44.0 | 52 |
| 46.9 | 43 |
| 55.9 | 46 |
| 59.7 | 13 |
| 64.0 | 17 |
| 66.3 | 30 |
| 75.1 | 18 |
| 84.9 | 15 |

---

Entry 6:
For Li5Sn6Ge, the GGA-PBE geometry in Alexandria gives the simulated powder diffraction line list in this record (a wavelength of 1.5418 Å).
Intensities are scaled so that the largest is 100.

Structural model:
abc: 8.3810 8.3810 8.3810
angles: 146.74 126.64 64.34
Positions (direct):
Li1 0.0000 0.0000 0.0000
Li2 0.1715 0.6715 0.5000
Li3 0.3427 0.3427 0.0000
Li4 0.6573 0.6573 0.0000
Li5 0.8285 0.3285 0.5000
Sn1 0.0744 0.8317 0.2427
Sn2 0.2353 0.5000 0.7353
Sn3 0.4110 0.1683 0.2427
Sn4 0.5890 0.8317 0.7573
Sn5 0.7647 0.5000 0.2647
Sn6 0.9256 0.1683 0.7573
Ge1 0.5000 0.0000 0.5000

Largest 12 diffraction maxima, by angle, 2θ = 15–90°:
| 2theta | intensity |
| --- | --- |
| 23.6 | 40 |
| 26.5 | 63 |
| 35.8 | 100 |
| 37.5 | 22 |
| 38.1 | 21 |
| 44.8 | 15 |
| 45.3 | 15 |
| 54.5 | 15 |
| 56.0 | 15 |
| 60.2 | 13 |
| 66.5 | 17 |
| 67.3 | 17 |

---

Entry 7:
For LiSnGe, the GGA-PBE geometry in Alexandria gives the simulated powder diffraction line list in this record (a wavelength of 1.5418 Å).
Intensities are scaled so that the largest is 100.

Structural model:
abc: 4.3469 3.0407 9.4990
angles: 90.00 90.00 90.00
Positions (direct):
Li1 0.2500 0.0000 0.1977
Li2 0.7500 0.0000 0.8023
Sn1 0.2500 0.5000 0.6139
Sn2 0.7500 0.5000 0.3861
Ge1 0.2500 0.5000 0.9204
Ge2 0.7500 0.5000 0.0796

Largest 12 diffraction maxima, by angle, 2θ = 15–90°:
| 2theta | intensity |
| --- | --- |
| 18.7 | 18 |
| 22.5 | 100 |
| 29.4 | 77 |
| 35.1 | 96 |
| 37.3 | 65 |
| 37.9 | 23 |
| 41.5 | 34 |
| 46.4 | 74 |
| 48.6 | 24 |
| 51.7 | 33 |
| 65.8 | 30 |
| 72.3 | 21 |

---

Entry 8:
For Sr3LiGe2, the GGA-PBE geometry in Alexandria gives the simulated powder diffraction line list in this record (a wavelength of 1.5418 Å).
Intensities are scaled so that the largest is 100.

Structural model:
abc: 4.4150 10.5286 8.4206
angles: 90.00 104.96 90.00
Positions (direct):
Sr1 0.1237 0.2500 0.2423
Sr2 0.3515 0.0514 0.7046
Sr3 0.3515 0.4486 0.7046
Sr4 0.6485 0.5514 0.2954
Sr5 0.6485 0.9486 0.2954
Sr6 0.8763 0.7500 0.7577
Li1 0.0723 0.7500 0.1400
Li2 0.9277 0.2500 0.8600
Ge1 0.0000 0.0000 0.0000
Ge2 0.0000 0.5000 0.0000
Ge3 0.2383 0.7500 0.4757
Ge4 0.7617 0.2500 0.5243

Largest 12 diffraction maxima, by angle, 2θ = 15–90°:
| 2theta | intensity |
| --- | --- |
| 20.1 | 20 |
| 27.3 | 21 |
| 27.4 | 21 |
| 27.7 | 39 |
| 31.2 | 100 |
| 33.1 | 23 |
| 34.1 | 25 |
| 35.2 | 16 |
| 35.4 | 15 |
| 37.3 | 28 |
| 40.9 | 27 |
| 56.0 | 22 |

---

Entry 9:
For SrLiGe, the GGA-PBE geometry in Alexandria gives the simulated powder diffraction line list in this record (a wavelength of 1.5418 Å).
Intensities are scaled so that the largest is 100.

Structural model:
abc: 4.7949 4.7949 3.7808
angles: 90.00 90.00 120.00
Positions (direct):
Sr1 0.0000 0.0000 0.0000
Li1 0.3333 0.6667 0.5000
Ge1 0.6667 0.3333 0.5000

Largest 12 diffraction maxima, by angle, 2θ = 15–90°:
| 2theta | intensity |
| --- | --- |
| 21.4 | 41 |
| 32.0 | 100 |
| 37.5 | 46 |
| 48.1 | 7 |
| 50.1 | 28 |
| 53.2 | 7 |
| 62.6 | 20 |
| 64.3 | 26 |
| 67.7 | 8 |
| 79.5 | 7 |
| 87.3 | 8 |
| 88.8 | 11 |

---

Entry 10:
For Sr2LiGe3, the GGA-PBE geometry in Alexandria gives the simulated powder diffraction line list in this record (a wavelength of 1.5418 Å).
Intensities are scaled so that the largest is 100.

Structural model:
abc: 11.9329 10.1955 8.7459
angles: 77.68 56.59 45.73
Positions (direct):
Sr1 0.0012 0.0012 0.2488
Sr2 0.2488 0.2488 0.0012
Sr3 0.2537 0.2537 0.4963
Sr4 0.4963 0.4963 0.2537
Sr5 0.5037 0.5037 0.7463
Sr6 0.7463 0.7463 0.5037
Sr7 0.7512 0.7512 0.9988
Sr8 0.9988 0.9988 0.7512
Li1 0.0420 0.7080 0.0420
Li2 0.2920 0.9580 0.2920
Li3 0.7080 0.0420 0.7080
Li4 0.9580 0.2920 0.9580
Ge1 0.0447 0.7100 0.5383
Ge2 0.2071 0.5383 0.7100
Ge3 0.2078 0.5422 0.2078
Ge4 0.2900 0.9553 0.7929
Ge5 0.4578 0.7922 0.4578
Ge6 0.4617 0.7929 0.9553
Ge7 0.5383 0.2071 0.0447
Ge8 0.5422 0.2078 0.5422
Ge9 0.7100 0.0447 0.2071
Ge10 0.7922 0.4578 0.7922
Ge11 0.7929 0.4617 0.2900
Ge12 0.9553 0.2900 0.4617

Largest 12 diffraction maxima, by angle, 2θ = 15–90°:
| 2theta | intensity |
| --- | --- |
| 30.6 | 100 |
| 39.1 | 16 |
| 41.3 | 28 |
| 41.4 | 14 |
| 52.2 | 7 |
| 52.3 | 14 |
| 58.2 | 30 |
| 65.6 | 11 |
| 68.7 | 13 |
| 68.8 | 6 |
| 75.4 | 5 |
| 88.4 | 6 |

---

Entry 11:
For SrLi3Ge, the GGA-PBE geometry in Alexandria gives the simulated powder diffraction line list in this record (a wavelength of 1.5418 Å).
Intensities are scaled so that the largest is 100.

Structural model:
abc: 7.3361 4.5714 7.4202
angles: 90.00 101.02 90.00
Positions (direct):
Sr1 0.0000 0.0000 0.0000
Sr2 0.3653 0.5000 0.4602
Li1 0.0776 0.0000 0.5845
Li2 0.2860 0.5000 0.8748
Li3 0.5402 0.0000 0.1247
Li4 0.6448 0.5000 0.8650
Li5 0.7196 0.0000 0.5960
Li6 0.8249 0.5000 0.3354
Ge1 0.4328 0.0000 0.7760
Ge2 0.9311 0.5000 0.6843

Largest 12 diffraction maxima, by angle, 2θ = 15–90°:
| 2theta | intensity |
| --- | --- |
| 15.6 | 34 |
| 23.0 | 100 |
| 24.7 | 64 |
| 25.4 | 58 |
| 27.2 | 74 |
| 32.0 | 87 |
| 32.2 | 35 |
| 35.6 | 57 |
| 36.7 | 31 |
| 39.4 | 36 |
| 41.4 | 25 |
| 46.5 | 35 |

---

Entry 12:
For Sr3Li2Ge3, the GGA-PBE geometry in Alexandria gives the simulated powder diffraction line list in this record (a wavelength of 1.5418 Å).
Intensities are scaled so that the largest is 100.

Structural model:
abc: 5.8942 5.8942 15.9294
angles: 90.00 90.00 131.83
Positions (direct):
Sr1 0.1019 0.8981 0.7500
Sr2 0.3915 0.6085 0.6103
Sr3 0.3915 0.6085 0.8897
Sr4 0.6085 0.3915 0.1103
Sr5 0.6085 0.3915 0.3897
Sr6 0.8981 0.1019 0.2500
Li1 0.2965 0.7035 0.0895
Li2 0.2965 0.7035 0.4105
Li3 0.7035 0.2965 0.5895
Li4 0.7035 0.2965 0.9105
Ge1 0.0995 0.9005 0.5399
Ge2 0.0995 0.9005 0.9601
Ge3 0.2004 0.7996 0.2500
Ge4 0.7996 0.2004 0.7500
Ge5 0.9005 0.0995 0.0399
Ge6 0.9005 0.0995 0.4601

Largest 12 diffraction maxima, by angle, 2θ = 15–90°:
| 2theta | intensity |
| --- | --- |
| 26.3 | 47 |
| 30.3 | 100 |
| 31.6 | 76 |
| 32.7 | 27 |
| 33.3 | 25 |
| 33.8 | 18 |
| 37.4 | 48 |
| 38.6 | 24 |
| 42.3 | 22 |
| 50.9 | 20 |
| 51.2 | 17 |
| 63.8 | 21 |